Computed X-ray powder pattern of Rb2Pd3Se2 for a wavelength of 1.5418 Å, from a DFT-relaxed cell (PBE, the Materials Project).
Neutral-atom scattering factors, no anomalous dispersion.

Structural model:
```
Rb2Pd3Se2
1.0
0.000 7.002 12.258
4.811 0.000 12.258
4.811 7.002 0.000
Rb Pd Se
8 12 8
direct
0.015 0.771 0.491
0.224 0.491 0.771
0.229 0.985 0.776
0.491 0.224 0.015
0.509 0.776 0.985
0.771 0.015 0.224
0.776 0.509 0.229
0.985 0.229 0.509
0.000 0.500 0.500
0.166 0.811 0.725
0.189 0.834 0.201
0.201 0.275 0.189
0.275 0.201 0.834
0.500 0.000 0.500
0.500 0.500 0.000
0.500 0.500 0.500
0.725 0.799 0.166
0.799 0.725 0.811
0.811 0.166 0.799
0.834 0.189 0.275
0.009 0.411 0.786
0.214 0.706 0.991
0.294 0.786 0.411
0.411 0.009 0.294
0.589 0.991 0.706
0.706 0.214 0.589
0.786 0.294 0.009
0.991 0.589 0.214
```

Peak list (10 most intense, 10 to 80 degrees two-theta, in order of rising 2θ)
| d (Å) | 2θ/deg | intensity |
| --- | --- | --- |
| 6.129 | 14.45 | 100 |
| 3.204 | 27.85 | 29 |
| 3.114 | 28.66 | 60 |
| 3.064 | 29.14 | 33 |
| 2.920 | 30.62 | 28 |
| 2.758 | 32.46 | 48 |
| 2.690 | 33.31 | 49 |
| 2.239 | 40.28 | 39 |
| 1.886 | 48.24 | 37 |
| 1.818 | 50.17 | 29 |